Computed powder XRD pattern
Compound: CsSm2PaS5
Radiation: Cu Kα (λ = 1.5418 Å)
Structure: the GGA-PBE geometry in Alexandria
Neutral-atom scattering factors, no anomalous dispersion.

Most intense lines, 10 to 90 degrees two-theta, in order of rising 2θ:
two_theta, I/Imax
13.7, 30.8
24.3, 25.5
25.0, 100.0
35.2, 33.3
36.0, 43.2
43.1, 25.4

Cell lengths 5.0968, 7.3391, 13.6202 Å; angles 90.00, 90.00, 90.00 degrees
Space group Immm (No. 71)
Inequivalent atoms, fractional coordinates:
Cs 0.0000 0.0000 0.0000
Sm 0.0000 0.5000 0.2044
Pa 0.0000 0.0000 0.5000
S 0.0000 0.2329 0.3472
S 0.0000 0.5000 0.0000